Record 1
The following is a calculated powder XRD pattern of Mg2H5Ir. It was derived from a PBE-relaxed structure, using Cu Kα, 1.54184 Å.
Neutral-atom scattering factors, no anomalous dispersion.

Top 12 peaks for 10 to 90 degrees two-theta, in order of rising 2θ:
13.7°, d 6.462, I 100
24.5°, d 3.628, I 30
27.6°, d 3.231, I 10
28.2°, d 3.163, I 64
30.5°, d 2.932, I 18
33.6°, d 2.670, I 21
37.3°, d 2.413, I 47
39.0°, d 2.308, I 12
41.5°, d 2.174, I 18
49.2°, d 1.852, I 18
52.3°, d 1.748, I 6
52.7°, d 1.736, I 12

Crystal structure
```
data_Mg2H5Ir
_cell_length_a 3.727
_cell_length_b 3.736
_cell_length_c 6.462
_cell_angle_alpha 89.88
_cell_angle_beta 89.98
_cell_angle_gamma 76.43
_symmetry_space_group_name_H-M 'P 1'
_symmetry_Int_Tables_number 1
_symmetry_space_group_name_Hall 'P 1'
loop_
_atom_site_label
_atom_site_fract_x
_atom_site_fract_y
_atom_site_fract_z
Mg1 0.000 0.000 0.000
Mg2 0.001 0.004 0.546
H1 0.060 0.061 0.273
H2 0.093 0.557 0.773
H3 0.550 0.088 0.773
H4 0.593 0.593 0.036
H5 0.593 0.594 0.511
Ir1 0.598 0.602 0.773
```

---

Record 2
The following is a calculated powder XRD pattern of Mg2H2Ir. It was derived from a PBE-relaxed structure, using Cu Kα, 1.54184 Å.
Neutral-atom scattering factors, no anomalous dispersion.

Top 12 peaks for 10 to 90 degrees two-theta, in order of rising 2θ:
19.3°, d 4.606, I 100
19.5°, d 4.561, I 98
27.5°, d 3.241, I 48
35.5°, d 2.531, I 46
35.6°, d 2.524, I 46
39.1°, d 2.303, I 26
39.5°, d 2.281, I 25
40.8°, d 2.213, I 95
44.0°, d 2.056, I 26
44.3°, d 2.044, I 26
53.9°, d 1.701, I 26
54.1°, d 1.694, I 26

Crystal structure
```
data_Mg2H2Ir
_cell_length_a 5.513
_cell_length_b 5.476
_cell_length_c 6.482
_cell_angle_alpha 54.12
_cell_angle_beta 53.59
_cell_angle_gamma 72.30
_symmetry_space_group_name_H-M 'P 1'
_symmetry_Int_Tables_number 1
_symmetry_space_group_name_Hall 'P 1'
loop_
_atom_site_label
_atom_site_fract_x
_atom_site_fract_y
_atom_site_fract_z
Mg1 0.218 0.782 0.218
Mg2 0.240 0.672 0.760
Mg3 0.672 0.240 0.328
Mg4 0.782 0.218 0.782
H1 0.490 0.971 0.275
H2 0.725 0.736 0.510
H3 0.736 0.725 0.029
H4 0.971 0.490 0.264
Ir1 0.230 0.230 0.270
Ir2 0.730 0.730 0.770
```

---

Record 3
The following is a calculated powder XRD pattern of Mg5H2Ir. It was derived from a PBE-relaxed structure, using Cu Kα, 1.54184 Å.
Neutral-atom scattering factors, no anomalous dispersion.

Top 12 peaks for 10 to 90 degrees two-theta, in order of rising 2θ:
15.6°, d 5.663, I 100
18.4°, d 4.835, I 87
21.6°, d 4.113, I 90
24.1°, d 3.695, I 45
24.3°, d 3.659, I 38
26.7°, d 3.335, I 58
26.8°, d 3.321, I 37
37.6°, d 2.392, I 58
37.8°, d 2.377, I 35
38.7°, d 2.328, I 69
39.7°, d 2.272, I 36
47.0°, d 1.935, I 39

Crystal structure
```
data_Mg5H2Ir
_cell_length_a 4.545
_cell_length_b 5.342
_cell_length_c 5.663
_cell_angle_alpha 89.46
_cell_angle_beta 89.94
_cell_angle_gamma 64.84
_symmetry_space_group_name_H-M 'P 1'
_symmetry_Int_Tables_number 1
_symmetry_space_group_name_Hall 'P 1'
loop_
_atom_site_label
_atom_site_fract_x
_atom_site_fract_y
_atom_site_fract_z
Mg1 0.000 0.000 0.000
Mg2 0.084 0.830 0.530
Mg3 0.296 0.407 0.890
Mg4 0.404 0.191 0.406
Mg5 0.697 0.605 0.248
H1 0.760 0.475 0.722
H2 0.903 0.185 0.315
Ir1 0.595 0.809 0.784
```

---

Record 4
The following is a calculated powder XRD pattern of MgH2Ir3. It was derived from a PBE-relaxed structure, using Cu Kα, 1.54184 Å.
Neutral-atom scattering factors, no anomalous dispersion.

Top 12 peaks for 10 to 90 degrees two-theta, in order of rising 2θ:
17.5°, d 5.069, I 73
19.4°, d 4.579, I 32
34.0°, d 2.634, I 100
38.8°, d 2.322, I 68
39.4°, d 2.289, I 67
42.5°, d 2.126, I 45
43.0°, d 2.102, I 84
43.4°, d 2.083, I 69
49.4°, d 1.843, I 24
49.6°, d 1.839, I 24
69.0°, d 1.362, I 23
78.4°, d 1.220, I 18

Crystal structure
```
data_MgH2Ir3
_cell_length_a 2.884
_cell_length_b 4.822
_cell_length_c 5.294
_cell_angle_alpha 79.86
_cell_angle_beta 74.30
_cell_angle_gamma 72.67
_symmetry_space_group_name_H-M 'P 1'
_symmetry_Int_Tables_number 1
_symmetry_space_group_name_Hall 'P 1'
loop_
_atom_site_label
_atom_site_fract_x
_atom_site_fract_y
_atom_site_fract_z
Mg1 0.000 0.000 0.000
H1 0.368 0.403 0.862
H2 0.682 0.985 0.651
Ir1 0.240 0.074 0.446
Ir2 0.595 0.543 0.265
Ir3 0.860 0.567 0.713
```

---

Record 5
The following is a calculated powder XRD pattern of MgH2Ir2. It was derived from a PBE-relaxed structure, using Cu Kα, 1.54184 Å.
Neutral-atom scattering factors, no anomalous dispersion.

Top 12 peaks for 10 to 90 degrees two-theta, in order of rising 2θ:
20.1°, d 4.409, I 100
36.9°, d 2.436, I 46
37.9°, d 2.376, I 23
40.9°, d 2.205, I 21
42.4°, d 2.132, I 76
43.3°, d 2.092, I 33
56.3°, d 1.635, I 28
57.0°, d 1.616, I 15
67.8°, d 1.383, I 10
71.5°, d 1.320, I 14
82.1°, d 1.174, I 11
82.3°, d 1.172, I 11

Crystal structure
```
data_MgH2Ir2
_cell_length_a 5.204
_cell_length_b 5.204
_cell_length_c 2.837
_cell_angle_alpha 105.73
_cell_angle_beta 105.73
_cell_angle_gamma 54.34
_symmetry_space_group_name_H-M 'P 1'
_symmetry_Int_Tables_number 1
_symmetry_space_group_name_Hall 'P 1'
loop_
_atom_site_label
_atom_site_fract_x
_atom_site_fract_y
_atom_site_fract_z
Mg1 0.000 0.000 0.000
H1 0.299 0.408 0.352
H2 0.592 0.701 0.648
Ir1 0.377 0.127 0.752
Ir2 0.873 0.623 0.248
```

---

Record 6
The following is a calculated powder XRD pattern of MgH6Ir. It was derived from a PBE-relaxed structure, using Cu Kα, 1.54184 Å.
Neutral-atom scattering factors, no anomalous dispersion.

Top 12 peaks for 10 to 90 degrees two-theta, in order of rising 2θ:
21.0°, d 4.221, I 71
22.0°, d 4.038, I 82
24.4°, d 3.647, I 45
26.5°, d 3.360, I 100
29.6°, d 3.019, I 55
35.9°, d 2.502, I 25
38.2°, d 2.359, I 42
39.3°, d 2.293, I 41
40.5°, d 2.229, I 19
44.3°, d 2.046, I 22
44.7°, d 2.028, I 29
45.7°, d 1.986, I 18

Crystal structure
```
data_MgH6Ir
_cell_length_a 4.724
_cell_length_b 4.724
_cell_length_c 5.010
_cell_angle_alpha 119.57
_cell_angle_beta 119.57
_cell_angle_gamma 47.23
_symmetry_space_group_name_H-M 'P 1'
_symmetry_Int_Tables_number 1
_symmetry_space_group_name_Hall 'P 1'
loop_
_atom_site_label
_atom_site_fract_x
_atom_site_fract_y
_atom_site_fract_z
Mg1 0.000 0.000 0.000
H1 0.000 0.000 0.423
H2 0.046 0.487 0.417
H3 0.222 0.222 0.978
H4 0.459 0.459 0.891
H5 0.487 0.046 0.417
H6 0.703 0.703 0.680
Ir1 0.227 0.227 0.650
```

---

Record 7
The following is a calculated powder XRD pattern of MgH3Ir3. It was derived from a PBE-relaxed structure, using Cu Kα, 1.54184 Å.
Neutral-atom scattering factors, no anomalous dispersion.

Top 12 peaks for 10 to 90 degrees two-theta, in order of rising 2θ:
21.9°, d 4.055, I 32
31.2°, d 2.867, I 27
38.4°, d 2.343, I 100
38.6°, d 2.335, I 33
44.7°, d 2.027, I 67
50.3°, d 1.815, I 8
55.5°, d 1.656, I 9
65.0°, d 1.435, I 22
65.2°, d 1.432, I 22
78.1°, d 1.223, I 39
78.3°, d 1.221, I 13
82.3°, d 1.171, I 11

Crystal structure
```
data_MgH3Ir3
_cell_length_a 4.055
_cell_length_b 4.055
_cell_length_c 4.055
_cell_angle_alpha 90.14
_cell_angle_beta 90.14
_cell_angle_gamma 90.14
_symmetry_space_group_name_H-M 'P 1'
_symmetry_Int_Tables_number 1
_symmetry_space_group_name_Hall 'P 1'
loop_
_atom_site_label
_atom_site_fract_x
_atom_site_fract_y
_atom_site_fract_z
Mg1 0.000 0.000 0.000
H1 0.495 0.927 0.927
H2 0.927 0.495 0.927
H3 0.927 0.927 0.495
Ir1 0.007 0.493 0.493
Ir2 0.493 0.007 0.493
Ir3 0.493 0.493 0.007
```

---

Record 8
The following is a calculated powder XRD pattern of Mg3H5Ir2. It was derived from a PBE-relaxed structure, using Cu Kα, 1.54184 Å.
Neutral-atom scattering factors, no anomalous dispersion.

Top 12 peaks for 10 to 90 degrees two-theta, in order of rising 2θ:
15.9°, d 5.581, I 38
22.4°, d 3.963, I 44
27.4°, d 3.254, I 24
27.5°, d 3.240, I 16
27.7°, d 3.219, I 50
39.4°, d 2.288, I 100
39.7°, d 2.268, I 19
48.9°, d 1.861, I 11
57.2°, d 1.610, I 14
64.2°, d 1.452, I 11
71.5°, d 1.320, I 14
71.9°, d 1.314, I 15

Crystal structure
```
data_Mg3H5Ir2
_cell_length_a 4.579
_cell_length_b 4.579
_cell_length_c 5.581
_cell_angle_alpha 90.65
_cell_angle_beta 90.65
_cell_angle_gamma 59.89
_symmetry_space_group_name_H-M 'P 1'
_symmetry_Int_Tables_number 1
_symmetry_space_group_name_Hall 'P 1'
loop_
_atom_site_label
_atom_site_fract_x
_atom_site_fract_y
_atom_site_fract_z
Mg1 0.000 0.000 0.000
Mg2 0.329 0.329 0.653
Mg3 0.663 0.663 0.316
H1 0.151 0.660 0.323
H2 0.327 0.840 0.657
H3 0.660 0.151 0.323
H4 0.839 0.839 0.663
H5 0.840 0.327 0.657
Ir1 0.329 0.329 0.142
Ir2 0.672 0.672 0.828
```

---

Record 9
The following is a calculated powder XRD pattern of Mg4H2Ir3. It was derived from a PBE-relaxed structure, using Cu Kα, 1.54184 Å.
Neutral-atom scattering factors, no anomalous dispersion.

Top 12 peaks for 10 to 90 degrees two-theta, in order of rising 2θ:
23.0°, d 3.870, I 18
24.1°, d 3.697, I 100
24.9°, d 3.583, I 49
31.5°, d 2.839, I 28
38.5°, d 2.338, I 42
39.0°, d 2.309, I 80
39.2°, d 2.299, I 39
40.0°, d 2.252, I 79
40.4°, d 2.234, I 20
47.0°, d 1.935, I 16
56.1°, d 1.639, I 27
57.4°, d 1.605, I 14

Crystal structure
```
data_Mg4H2Ir3
_cell_length_a 4.507
_cell_length_b 4.507
_cell_length_c 7.250
_cell_angle_alpha 109.16
_cell_angle_beta 109.16
_cell_angle_gamma 61.34
_symmetry_space_group_name_H-M 'P 1'
_symmetry_Int_Tables_number 1
_symmetry_space_group_name_Hall 'P 1'
loop_
_atom_site_label
_atom_site_fract_x
_atom_site_fract_y
_atom_site_fract_z
Mg1 0.140 0.140 0.410
Mg2 0.275 0.299 0.868
Mg3 0.701 0.725 0.132
Mg4 0.860 0.860 0.590
H1 0.204 0.707 0.137
H2 0.293 0.796 0.863
Ir1 0.446 0.426 0.304
Ir2 0.574 0.554 0.696
Ir3 0.960 0.040 0.000
```

---

Record 10
The following is a calculated powder XRD pattern of MgH3Ir3. It was derived from a PBE-relaxed structure, using Cu Kα, 1.54184 Å.
Neutral-atom scattering factors, no anomalous dispersion.

Top 12 peaks for 10 to 90 degrees two-theta, in order of rising 2θ:
17.7°, d 5.022, I 39
19.0°, d 4.662, I 22
21.6°, d 4.116, I 15
35.8°, d 2.511, I 52
38.3°, d 2.351, I 100
38.6°, d 2.331, I 49
43.8°, d 2.066, I 66
44.0°, d 2.058, I 30
61.9°, d 1.499, I 18
65.7°, d 1.420, I 21
73.7°, d 1.286, I 14
78.4°, d 1.220, I 13

Crystal structure
```
data_MgH3Ir3
_cell_length_a 4.907
_cell_length_b 2.864
_cell_length_c 5.285
_cell_angle_alpha 90.00
_cell_angle_beta 108.17
_cell_angle_gamma 90.00
_symmetry_space_group_name_H-M 'P 1'
_symmetry_Int_Tables_number 1
_symmetry_space_group_name_Hall 'P 1'
loop_
_atom_site_label
_atom_site_fract_x
_atom_site_fract_y
_atom_site_fract_z
Mg1 0.000 0.000 0.000
H1 0.137 0.000 0.435
H2 0.452 0.000 0.194
H3 0.840 0.500 0.196
Ir1 0.493 0.500 0.990
Ir2 0.519 0.000 0.556
Ir3 0.994 0.500 0.560
```

---

Record 11
The following is a calculated powder XRD pattern of MgH6Ir. It was derived from a PBE-relaxed structure, using Cu Kα, 1.54184 Å.
Neutral-atom scattering factors, no anomalous dispersion.

Top 12 peaks for 10 to 90 degrees two-theta, in order of rising 2θ:
21.2°, d 4.185, I 100
25.5°, d 3.496, I 30
26.8°, d 3.332, I 71
29.0°, d 3.083, I 19
29.3°, d 3.053, I 19
34.3°, d 2.612, I 22
38.9°, d 2.312, I 27
39.2°, d 2.300, I 26
42.5°, d 2.129, I 24
43.2°, d 2.092, I 14
43.8°, d 2.065, I 18
44.3°, d 2.047, I 18

Crystal structure
```
data_MgH6Ir
_cell_length_a 4.747
_cell_length_b 4.747
_cell_length_c 6.486
_cell_angle_alpha 102.11
_cell_angle_beta 102.11
_cell_angle_gamma 94.87
_symmetry_space_group_name_H-M 'P 1'
_symmetry_Int_Tables_number 1
_symmetry_space_group_name_Hall 'P 1'
loop_
_atom_site_label
_atom_site_fract_x
_atom_site_fract_y
_atom_site_fract_z
Mg1 0.070 0.930 0.750
Mg2 0.930 0.070 0.250
H1 0.209 0.237 0.030
H2 0.215 0.641 0.265
H3 0.234 0.591 0.857
H4 0.237 0.209 0.530
H5 0.359 0.785 0.235
H6 0.409 0.766 0.643
H7 0.591 0.234 0.357
H8 0.641 0.215 0.765
H9 0.763 0.791 0.470
H10 0.766 0.409 0.143
H11 0.785 0.359 0.735
H12 0.791 0.763 0.970
Ir1 0.000 0.500 0.000
Ir2 0.500 0.000 0.500
```

---

Record 12
The following is a calculated powder XRD pattern of MgH5Ir3. It was derived from a PBE-relaxed structure, using Cu Kα, 1.54184 Å.
Neutral-atom scattering factors, no anomalous dispersion.

Top 12 peaks for 10 to 90 degrees two-theta, in order of rising 2θ:
19.9°, d 4.452, I 100
28.5°, d 3.133, I 15
36.8°, d 2.444, I 16
38.5°, d 2.337, I 36
38.8°, d 2.323, I 35
39.3°, d 2.293, I 53
41.0°, d 2.204, I 50
44.0°, d 2.060, I 27
44.7°, d 2.029, I 12
47.7°, d 1.905, I 16
57.6°, d 1.601, I 16
71.6°, d 1.317, I 14

Crystal structure
```
data_MgH5Ir3
_cell_length_a 4.659
_cell_length_b 4.659
_cell_length_c 5.738
_cell_angle_alpha 123.16
_cell_angle_beta 123.16
_cell_angle_gamma 59.82
_symmetry_space_group_name_H-M 'P 1'
_symmetry_Int_Tables_number 1
_symmetry_space_group_name_Hall 'P 1'
loop_
_atom_site_label
_atom_site_fract_x
_atom_site_fract_y
_atom_site_fract_z
Mg1 0.000 0.000 0.000
H1 0.115 0.594 0.173
H2 0.187 0.187 0.733
H3 0.510 0.510 0.023
H4 0.594 0.115 0.173
H5 0.595 0.595 0.730
Ir1 0.341 0.341 0.613
Ir2 0.569 0.569 0.381
Ir3 0.916 0.916 0.444
```

---

Record 13
The following is a calculated powder XRD pattern of MgH2Ir4. It was derived from a PBE-relaxed structure, using Cu Kα, 1.54184 Å.
Neutral-atom scattering factors, no anomalous dispersion.

Top 12 peaks for 10 to 90 degrees two-theta, in order of rising 2θ:
20.0°, d 4.447, I 30
22.5°, d 3.951, I 23
25.3°, d 3.516, I 9
37.7°, d 2.388, I 36
40.6°, d 2.224, I 25
43.0°, d 2.104, I 100
56.6°, d 1.627, I 23
68.0°, d 1.379, I 16
71.7°, d 1.317, I 5
75.5°, d 1.259, I 19
82.3°, d 1.172, I 19
83.9°, d 1.153, I 14

Crystal structure
```
data_MgH2Ir4
_cell_length_a 5.233
_cell_length_b 5.233
_cell_length_c 5.233
_cell_angle_alpha 54.31
_cell_angle_beta 54.31
_cell_angle_gamma 54.31
_symmetry_space_group_name_H-M 'P 1'
_symmetry_Int_Tables_number 1
_symmetry_space_group_name_Hall 'P 1'
loop_
_atom_site_label
_atom_site_fract_x
_atom_site_fract_y
_atom_site_fract_z
Mg1 0.000 0.000 0.000
H1 0.573 0.573 0.573
H2 0.772 0.772 0.772
Ir1 0.180 0.839 0.487
Ir2 0.335 0.335 0.335
Ir3 0.487 0.180 0.839
Ir4 0.839 0.487 0.180
```

---

Record 14
The following is a calculated powder XRD pattern of Mg5H3Ir. It was derived from a PBE-relaxed structure, using Cu Kα, 1.54184 Å.
Neutral-atom scattering factors, no anomalous dispersion.

Top 12 peaks for 10 to 90 degrees two-theta, in order of rising 2θ:
18.3°, d 4.852, I 54
18.7°, d 4.740, I 100
20.2°, d 4.406, I 31
20.9°, d 4.255, I 27
23.1°, d 3.846, I 51
29.1°, d 3.066, I 29
34.4°, d 2.604, I 29
37.7°, d 2.386, I 25
38.0°, d 2.370, I 33
38.4°, d 2.346, I 31
40.5°, d 2.229, I 25
49.7°, d 1.835, I 20

Crystal structure
```
data_Mg5H3Ir
_cell_length_a 5.598
_cell_length_b 5.598
_cell_length_c 5.330
_cell_angle_alpha 110.98
_cell_angle_beta 110.98
_cell_angle_gamma 60.30
_symmetry_space_group_name_H-M 'P 1'
_symmetry_Int_Tables_number 1
_symmetry_space_group_name_Hall 'P 1'
loop_
_atom_site_label
_atom_site_fract_x
_atom_site_fract_y
_atom_site_fract_z
Mg1 0.000 0.000 0.000
Mg2 0.301 0.789 0.522
Mg3 0.323 0.323 0.978
Mg4 0.722 0.722 0.203
Mg5 0.789 0.301 0.522
H1 0.134 0.581 0.659
H2 0.581 0.134 0.659
H3 0.668 0.668 0.793
Ir1 0.270 0.270 0.436
```